(1)
Structure and calculated XRD peak list of Pd2PbO4 (a DFT-relaxed cell (GGA-PBE, the Materials Project); λ = 1.5418 Å (Cu Kα)).
Intensities are scaled so that the largest is 100.

The 10 most intense peaks (10 to 90 degrees two-theta), low angle first:
d/Å	2θ (°)	I_rel	index
3.249	27.5	39	1 1 2
2.959	30.2	45	1 0 3
2.573	34.9	100	2 1 1
1.935	47.0	18	1 0 5
1.765	51.8	19	1 3 2
1.714	53.5	13	3 0 3
1.628	56.5	18	3 2 1
1.624	56.7	26	2 2 4
1.329	70.9	12	1 4 3
1.179	81.6	11	1 4 5

Cell: 5.947 5.947 10.231 Å, 90.00 90.00 90.00°
Space group I4_1/a (No. 88, origin choice 2)
One atom of each set of equivalent atoms:
Pd 0.000 0.000 0.000
Pb 0.000 0.250 0.625
O 0.162 0.050 0.828

---

(2)
Structure and calculated XRD peak list of PdPbO2 (a DFT-relaxed cell (GGA-PBE, the Materials Project); λ = 1.5418 Å (Cu Kα)).
Intensities are scaled so that the largest is 100.

The 10 most intense peaks (10 to 90 degrees two-theta), low angle first:
d/Å	2θ (°)	I_rel	index
2.888	31.0	100	1 2 1
2.764	32.4	18	2 0 0
2.398	37.5	16	0 4 0
2.391	37.6	11	0 0 2
1.810	50.4	31	2 4 0
1.693	54.2	13	0 4 2
1.619	56.9	18	3 2 1
1.462	63.6	13	1 6 1
1.459	63.8	12	1 2 3
1.444	64.5	11	2 4 2

Cell: 5.529 9.594 4.781 Å, 90.00 90.00 90.00°
Space group Imma (No. 74)
One atom of each set of equivalent atoms:
Pd 0.000 0.000 0.000
Pb 0.000 0.250 0.478
O 0.250 0.100 0.750

---

(3)
Structure and calculated XRD peak list of Pt2PbO4 (a DFT-relaxed cell (GGA-PBE, the Materials Project); λ = 1.5418 Å (Cu Kα)).
Intensities are scaled so that the largest is 100.

The 10 most intense peaks (10 to 90 degrees two-theta), low angle first:
d/Å	2θ (°)	I_rel	index
3.110	28.7	80	0 1 1
3.016	29.6	76	1 1 0
2.944	30.4	84	1 0 -2
2.901	30.8	100	0 0 2
2.797	32.0	57	1 -2 0
2.723	32.9	69	1 -1 2
2.701	33.2	86	0 2 -2
2.678	33.5	88	2 0 -1
2.583	34.7	56	1 -2 2
2.392	37.6	60	2 -2 0

Cell: 5.743 6.228 6.771 Å, 115.83 96.63 109.58°
Space group P-1 (No. 2)
One atom of each set of equivalent atoms:
Pt 0.000 0.000 0.000
Pt 0.000 0.000 0.500
Pt 0.000 0.500 0.000
Pt 0.500 0.500 0.000
Pb 0.357 0.748 0.644
O 0.018 0.362 0.223
O 0.132 0.896 0.225
O 0.335 0.332 0.659
O 0.370 0.155 0.995

---

(4)
Structure and calculated XRD peak list of PtPb2O4 (a DFT-relaxed cell (GGA-PBE, the Materials Project); λ = 1.5418 Å (Cu Kα)).
Intensities are scaled so that the largest is 100.

The 10 most intense peaks (10 to 90 degrees two-theta), low angle first:
d/Å	2θ (°)	I_rel	index
3.405	26.2	56	1 2 1
3.213	27.8	100	2 1 1
2.877	31.1	59	1 3 0
2.848	31.4	59	1 1 2
2.643	33.9	30	0 2 2
2.589	34.6	20	3 1 0
2.190	41.2	15	3 2 1
1.859	49.0	20	2 1 3
1.717	53.4	31	3 3 2
1.713	53.5	22	4 0 2

Cell: 8.091 9.235 6.445 Å, 90.00 90.00 90.00°
Space group Pbam (No. 55)
One atom of each set of equivalent atoms:
Pt 0.000 0.000 0.249
Pb 0.109 0.325 0.500
Pb 0.142 0.656 0.000
O 0.107 0.896 0.500
O 0.125 0.912 0.000
O 0.167 0.166 0.250

---

(5)
Structure and calculated XRD peak list of Sr4Pt4PbO11 (a DFT-relaxed cell (GGA-PBE, the Materials Project); λ = 1.5418 Å (Cu Kα)).
Intensities are scaled so that the largest is 100.

The 10 most intense peaks (10 to 90 degrees two-theta), low angle first:
d/Å	2θ (°)	I_rel	index
7.193	12.3	88	0 1 1
5.061	17.5	28	0 2 0
3.216	27.7	40	0 3 1
2.933	30.5	89	1 0 -3
2.912	30.7	100	1 3 0
2.883	31.0	86	2 0 0
2.545	35.3	56	-1 2 3
2.525	35.6	34	1 -3 2
2.521	35.6	32	1 3 -2
1.670	55.0	30	3 3 0

Cell: 5.765 10.123 10.221 Å, 89.55 89.83 89.99°
Space group P-1 (No. 2)
One atom of each set of equivalent atoms:
Sr 0.249 0.033 0.127
Sr 0.250 0.376 0.047
Sr 0.251 0.116 0.484
Sr 0.251 0.466 0.395
Pt 0.249 0.793 0.354
Pt 0.250 0.703 0.107
Pt 0.251 0.129 0.816
Pt 0.251 0.377 0.724
Pb 0.216 0.755 0.729
O 0.000 0.069 0.690
O 0.001 0.167 0.955
O 0.006 0.562 0.148
O 0.011 0.331 0.585
O 0.176 0.247 0.264
O 0.250 0.868 0.536
O 0.255 0.556 0.634
O 0.488 0.329 0.584
O 0.491 0.561 0.151
O 0.496 0.932 0.309
O 0.497 0.168 0.956

---

(6)
Structure and calculated XRD peak list of Rb2PbO3 (a DFT-relaxed cell (GGA-PBE, the Materials Project); λ = 1.5418 Å (Cu Kα)).
Intensities are scaled so that the largest is 100.

The 10 most intense peaks (10 to 90 degrees two-theta), low angle first:
d/Å	2θ (°)	I_rel	index
6.241	14.2	65	1 1 0
5.543	16.0	29	2 0 0
3.319	26.9	53	3 1 0
3.217	27.7	100	0 2 1
3.070	29.1	48	0 0 2
2.920	30.6	92	3 1 1
2.279	39.5	21	1 3 1
2.254	40.0	55	3 1 2
1.970	46.1	34	3 3 1
1.602	57.5	26	6 2 1

Cell: 11.086 7.552 6.141 Å, 90.00 90.00 90.00°
Space group Cmc2_1 (No. 36)
One atom of each set of equivalent atoms:
Rb 0.164 0.145 0.000
Pb 0.000 0.407 0.479
O 0.000 0.136 0.434
O 0.130 0.486 0.736